CaAgBF6: theoretical powder X-ray diffraction pattern (a wavelength of 1.5418 Å), based on DFT lattice parameters and positions (PBE).

Top 10 peaks for 10° ≤ 2θ ≤ 90°, by angle:
2theta, I_rel
17.1, 732
18.7, 392
21.3, 224
21.4, 227
21.9, 1000
23.5, 523
32.9, 313
33.0, 322
44.5, 225
44.8, 235

Structure:
Lattice parameters (Å, degrees): 5.351 5.830 6.982 88.03 85.06 62.70
Fractional coordinates of all 9 atoms:
1 Ca 0.000 0.000 0.000
2 Ag 0.507 0.986 0.500
3 B 0.709 0.581 0.000
4 F 0.229 0.985 0.731
5 F 0.453 0.739 0.109
6 F 0.662 0.417 0.878
7 F 0.781 0.993 0.269
8 F 0.807 0.739 0.891
9 F 0.920 0.419 0.121

=====

Ac4Au: theoretical powder X-ray diffraction pattern (a wavelength of 1.5418 Å), based on DFT lattice parameters and positions (PBE).

Top 10 peaks for 10° ≤ 2θ ≤ 90°, by angle:
2theta, I_rel
27.8, 179
28.2, 1000
28.5, 234
28.8, 470
33.5, 259
34.1, 220
34.6, 150
35.8, 147
45.8, 150
51.9, 194

Structure:
Lattice parameters (Å, degrees): 8.309 8.072 10.038 53.28 51.15 75.57
Fractional coordinates of all 10 atoms:
1 Ac 0.045 0.955 0.204
2 Ac 0.046 0.454 0.205
3 Ac 0.085 0.504 0.765
4 Ac 0.454 0.046 0.295
5 Ac 0.485 0.603 0.165
6 Ac 0.504 0.085 0.647
7 Ac 0.603 0.485 0.746
8 Ac 0.955 0.045 0.796
9 Au 0.647 0.647 0.353
10 Au 0.897 0.897 0.603

=====

MgPd14Pb: theoretical powder X-ray diffraction pattern (a wavelength of 1.5418 Å), based on DFT lattice parameters and positions (PBE).

Top 10 peaks for 10° ≤ 2θ ≤ 90°, by angle:
2theta, I_rel
15.6, 40
19.3, 60
39.1, 1000
45.1, 331
46.1, 155
65.7, 105
66.5, 204
79.2, 247
80.6, 118
84.0, 107

Structure:
Lattice parameters (Å, degrees): 5.682 5.682 7.880 90.00 90.00 90.00
Fractional coordinates of all 16 atoms:
1 Mg 0.000 0.000 0.000
2 Pd 0.000 0.000 0.500
3 Pd 0.000 0.500 0.000
4 Pd 0.000 0.500 0.500
5 Pd 0.247 0.247 0.253
6 Pd 0.247 0.247 0.747
7 Pd 0.247 0.753 0.253
8 Pd 0.247 0.753 0.747
9 Pd 0.500 0.000 0.000
10 Pd 0.500 0.000 0.500
11 Pd 0.500 0.500 0.500
12 Pd 0.753 0.247 0.253
13 Pd 0.753 0.247 0.747
14 Pd 0.753 0.753 0.253
15 Pd 0.753 0.753 0.747
16 Pb 0.500 0.500 0.000